No. 1
This entry pairs a crystal structure of S with its theoretical X-ray diffraction stick pattern. Radiation: CuKα. Structure: a PBE-relaxed structure.

Most intense lines, 10 to 80 degrees two-theta, by angle:
2θ/deg  d (Å)  Rel. int.
16.6  5.331  88.0
19.1  4.654  58.6
19.3  4.600  100.0
22.8  3.897  62.1
24.9  3.581  96.0
28.4  3.146  53.5

Crystal structure
Cell: 11.9043 11.9043 9.5978 Å, 100.40 100.40 50.50°
Fractional positions:
S (0.0043, 0.4195, 0.8066)
S (0.0074, 0.0830, 0.3090)
S (0.0370, 0.3814, 0.1408)
S (0.0830, 0.0074, 0.8090)
S (0.1382, 0.7576, 0.5434)
S (0.1592, 0.2939, 0.9669)
S (0.1909, 0.5635, 0.5821)
S (0.2424, 0.8618, 0.9566)
S (0.2939, 0.1592, 0.4669)
S (0.3382, 0.4717, 0.7566)
S (0.3674, 0.5429, 0.1891)
S (0.3814, 0.0370, 0.6408)
S (0.4195, 0.0043, 0.3066)
S (0.4365, 0.8091, 0.9179)
S (0.4571, 0.6326, 0.3109)
S (0.4717, 0.3382, 0.2566)
S (0.5283, 0.6618, 0.7434)
S (0.5429, 0.3674, 0.6891)
S (0.5635, 0.1909, 0.0821)
S (0.5805, 0.9957, 0.6934)
S (0.6186, 0.9630, 0.3592)
S (0.6326, 0.4571, 0.8109)
S (0.6618, 0.5283, 0.2434)
S (0.7061, 0.8408, 0.5331)
S (0.7576, 0.1382, 0.0434)
S (0.8091, 0.4365, 0.4179)
S (0.8408, 0.7061, 0.0331)
S (0.8618, 0.2424, 0.4566)
S (0.9170, 0.9926, 0.1910)
S (0.9630, 0.6186, 0.8592)
S (0.9926, 0.9170, 0.6910)
S (0.9957, 0.5805, 0.1934)

=====

No. 2
This entry pairs a crystal structure of S with its theoretical X-ray diffraction stick pattern. Radiation: CuKα. Structure: a PBE-relaxed structure.

Most intense lines, 10 to 80 degrees two-theta, by angle:
2θ/deg  d (Å)  Rel. int.
16.7  5.308  100.0
17.5  5.055  42.9
19.1  4.652  40.7
28.9  3.087  38.5
30.6  2.921  48.8
46.2  1.964  16.1

Crystal structure
Cell: 11.8792 10.4366 6.7516 Å, 84.55 61.00 34.46°
Fractional positions:
S (0.0341, 0.7159, 0.0341)
S (0.0688, 0.0688, 0.6812)
S (0.2841, 0.9659, 0.2841)
S (0.3188, 0.3188, 0.9312)
S (0.6812, 0.6812, 0.0688)
S (0.7159, 0.0341, 0.7159)
S (0.9312, 0.9312, 0.3188)
S (0.9659, 0.2841, 0.9659)

=====

No. 3
This entry pairs a crystal structure of S with its theoretical X-ray diffraction stick pattern. Radiation: CuKα. Structure: a PBE-relaxed structure.

Most intense lines, 10 to 80 degrees two-theta, by angle:
2θ/deg  d (Å)  Rel. int.
17.1  5.177  71.6
17.2  5.145  37.7
28.5  3.130  100.0
34.6  2.590  13.0
37.9  2.374  34.4
52.1  1.755  14.9

Crystal structure
Cell: 5.9510 3.9362 5.9561 Å, 90.00 119.59 90.00°
Fractional positions:
S (0.0716, 0.2500, 0.3183)
S (0.2507, 0.2500, 0.6831)
S (0.7493, 0.7500, 0.3169)
S (0.9284, 0.7500, 0.6817)